Entry 1:
Pm2UGaN5: simulated XRD peak list (λ = 1.5418 Å (Cu Kα)), based on a cell relaxed with GGA-PBE.

Structure:
```
Pm2UGaN5
1.0
1.7215 -7.0546 0.0000
1.7215 7.0546 0.0000
0.0000 0.0000 10.3299
Pm U Ga N
4 2 2 10
Direct
0.1062 0.8938 0.5000
0.1234 0.8766 0.1059
0.8766 0.1234 0.6059
0.8938 0.1062 0.0000
0.2129 0.7871 0.8149
0.7871 0.2129 0.3149
0.4856 0.5144 0.2784
0.5144 0.4856 0.7784
0.0568 0.9432 0.8541
0.2831 0.7169 0.4460
0.2971 0.7029 0.1850
0.3667 0.6333 0.8117
0.4987 0.5013 0.5906
0.5013 0.4987 0.0906
0.6333 0.3667 0.3117
0.7029 0.2971 0.6850
0.7169 0.2831 0.9460
0.9432 0.0568 0.3541
```

Principal peaks in the range 2θ from 5° to 70°, by angle:
| two_theta | I_rel |
| --- | --- |
| 21.32 | 34 |
| 26.68 | 51 |
| 28.85 | 68 |
| 30.69 | 78 |
| 32.22 | 57 |
| 33.40 | 47 |
| 37.49 | 100 |
| 39.29 | 39 |
| 45.10 | 47 |
| 55.42 | 34 |

Entry 2:
YCo2As: simulated XRD peak list (λ = 1.5418 Å (Cu Kα)), based on a cell relaxed with GGA-PBE.

Structure:
```
YCo2As
1.0
3.9859 0.0000 0.0000
-1.9930 3.4519 0.0000
0.0000 0.0000 14.6604
Y Co As
3 6 3
Direct
0.0000 0.0000 0.0000
0.3333 0.6667 0.6667
0.6667 0.3333 0.3333
0.0000 0.0000 0.2036
0.0000 0.0000 0.5177
0.3333 0.6667 0.1843
0.3333 0.6667 0.8703
0.6667 0.3333 0.5369
0.6667 0.3333 0.8510
0.0000 0.0000 0.7965
0.3333 0.6667 0.4632
0.6667 0.3333 0.1299
```

Principal peaks in the range 2θ from 5° to 70°, by angle:
| two_theta | I_rel |
| --- | --- |
| 18.15 | 26 |
| 26.53 | 27 |
| 35.73 | 100 |
| 36.78 | 20 |
| 40.36 | 54 |
| 45.51 | 100 |
| 59.17 | 22 |
| 59.89 | 27 |
| 62.44 | 14 |
| 69.68 | 21 |

Entry 3:
NdY5Ho2Sc: simulated XRD peak list (λ = 1.5418 Å (Cu Kα)), based on a cell relaxed with GGA-PBE.

Structure:
```
NdY5Ho2Sc
1.0
2.7869 -9.9486 0.0000
2.7869 9.9486 0.0000
0.0000 0.0000 10.3877
Nd Y Ho Sc
2 10 4 2
Direct
0.0883 0.9117 0.5000
0.9117 0.0883 0.0000
0.0198 0.9802 0.7888
0.1275 0.8725 0.0726
0.2018 0.7982 0.7548
0.2265 0.7735 0.3810
0.4824 0.5176 0.0696
0.5176 0.4824 0.5696
0.7735 0.2265 0.8810
0.7982 0.2018 0.2548
0.8725 0.1275 0.5726
0.9802 0.0198 0.2888
0.3855 0.6145 0.7869
0.3894 0.6106 0.3651
0.6106 0.3894 0.8651
0.6145 0.3855 0.2869
0.3072 0.6928 0.0677
0.6928 0.3072 0.5677
```

Principal peaks in the range 2θ from 5° to 70°, by angle:
| two_theta | I_rel |
| --- | --- |
| 27.04 | 24 |
| 28.25 | 15 |
| 30.73 | 40 |
| 32.11 | 53 |
| 32.58 | 100 |
| 33.33 | 10 |
| 36.54 | 14 |
| 51.94 | 12 |
| 57.55 | 20 |
| 62.39 | 14 |

Entry 4:
BaSrNdCu3O7: simulated XRD peak list (λ = 1.5418 Å (Cu Kα)), based on a cell relaxed with GGA-PBE.

Structure:
```
BaSrNdCu3O7
1.0
3.8186 0.0000 0.0000
0.0000 3.9376 0.0000
0.0000 0.0000 11.7893
Ba Sr Nd Cu O
1 1 1 3 7
Direct
0.0000 0.0000 0.0000
0.0000 0.0000 0.6446
0.0000 0.0000 0.3269
0.5000 0.5000 0.1711
0.5000 0.5000 0.4827
0.5000 0.5000 0.8191
0.0000 0.5000 0.1983
0.0000 0.5000 0.4550
0.5000 0.0000 0.1952
0.5000 0.0000 0.4596
0.5000 0.0000 0.8085
0.5000 0.5000 0.6610
0.5000 0.5000 0.9779
```

Principal peaks in the range 2θ from 5° to 70°, by angle:
| two_theta | I_rel |
| --- | --- |
| 7.50 | 13 |
| 22.60 | 7 |
| 32.18 | 48 |
| 32.68 | 100 |
| 40.11 | 13 |
| 46.15 | 27 |
| 47.63 | 14 |
| 57.70 | 40 |
| 58.65 | 17 |
| 68.48 | 15 |

Entry 5:
Pr3SbAs2Pt9: simulated XRD peak list (λ = 1.5418 Å (Cu Kα)), based on a cell relaxed with GGA-PBE.

Structure:
```
Pr3SbAs2Pt9
1.0
5.8030 0.0000 0.0000
-2.9015 5.0255 0.0000
0.0000 0.0000 11.5293
Pr Sb As Pt
3 1 2 9
Direct
0.0000 0.0000 0.0000
0.3333 0.6667 0.5837
0.6667 0.3333 0.4163
0.0000 0.0000 0.5000
0.3333 0.6667 0.1613
0.6667 0.3333 0.8387
0.0000 0.5000 0.0000
0.1688 0.3376 0.3226
0.1688 0.8312 0.3226
0.3376 0.1688 0.6774
0.5000 0.0000 0.0000
0.5000 0.5000 0.0000
0.6624 0.8312 0.3226
0.8312 0.1688 0.6774
0.8312 0.6624 0.6774
```

Principal peaks in the range 2θ from 5° to 70°, by angle:
| two_theta | I_rel |
| --- | --- |
| 19.27 | 27 |
| 23.14 | 61 |
| 36.60 | 78 |
| 38.89 | 19 |
| 39.11 | 100 |
| 43.17 | 12 |
| 48.04 | 42 |
| 53.97 | 15 |
| 64.20 | 27 |
| 69.22 | 18 |

Entry 6:
Dy4OsPd: simulated XRD peak list (λ = 1.5418 Å (Cu Kα)), based on a cell relaxed with GGA-PBE.

Structure:
```
Dy4OsPd
1.0
0.0000 6.6976 6.6976
6.6976 0.0000 6.6976
6.6976 6.6976 0.0000
Dy Os Pd
16 4 4
Direct
0.0549 0.0549 0.4451
0.0549 0.4451 0.0549
0.0549 0.4451 0.4451
0.1893 0.1893 0.8107
0.1893 0.8107 0.1893
0.1893 0.8107 0.8107
0.1988 0.6004 0.6004
0.4451 0.0549 0.0549
0.4451 0.0549 0.4451
0.4451 0.4451 0.0549
0.6004 0.1988 0.6004
0.6004 0.6004 0.1988
0.6004 0.6004 0.6004
0.8107 0.1893 0.1893
0.8107 0.1893 0.8107
0.8107 0.8107 0.1893
0.3886 0.3886 0.3886
0.3886 0.3886 0.8343
0.3886 0.8343 0.3886
0.8343 0.3886 0.3886
0.4766 0.8411 0.8411
0.8411 0.4766 0.8411
0.8411 0.8411 0.4766
0.8411 0.8411 0.8411
```

Principal peaks in the range 2θ from 5° to 70°, by angle:
| two_theta | I_rel |
| --- | --- |
| 11.44 | 11 |
| 29.06 | 19 |
| 32.75 | 42 |
| 34.80 | 100 |
| 38.00 | 54 |
| 39.81 | 8 |
| 52.47 | 17 |
| 58.46 | 38 |
| 59.79 | 16 |
| 69.87 | 12 |

Entry 7:
TmSc3N4: simulated XRD peak list (λ = 1.5418 Å (Cu Kα)), based on a cell relaxed with GGA-PBE.

Structure:
```
TmSc3N4
1.0
5.6260 0.0000 0.0000
0.0000 6.5064 0.0000
-1.8744 0.0000 5.3067
Tm Sc N
2 6 8
Direct
0.0000 0.1271 0.2500
0.0000 0.8729 0.7500
0.0000 0.3774 0.7500
0.0000 0.6226 0.2500
0.5000 0.1283 0.7500
0.5000 0.3772 0.2500
0.5000 0.6228 0.7500
0.5000 0.8717 0.2500
0.2524 0.3798 0.5049
0.2524 0.6202 0.0049
0.2582 0.1299 0.9985
0.2582 0.8701 0.4985
0.7418 0.1299 0.5015
0.7418 0.8701 0.0015
0.7476 0.3798 0.9951
0.7476 0.6202 0.4951
```

Principal peaks in the range 2θ from 5° to 70°, by angle:
| two_theta | I_rel |
| --- | --- |
| 13.61 | 22 |
| 16.71 | 31 |
| 21.61 | 36 |
| 23.71 | 15 |
| 32.29 | 21 |
| 33.77 | 99 |
| 35.21 | 12 |
| 39.20 | 100 |
| 56.64 | 62 |
| 67.59 | 41 |